CuAsO5: computed powder X-ray diffraction pattern (copper Kα), based on a PBE-relaxed structure.
Lines closer than 0.1° are merged.

Cell and atoms:
```
data_CuAsO5
_cell_length_a 7.9193
_cell_length_b 6.3330
_cell_length_c 7.1960
_cell_angle_alpha 90.00
_cell_angle_beta 116.98
_cell_angle_gamma 90.00
_space_group_name_H-M_alt 'C 1 2/c 1'
_space_group_IT_number 15
loop_
_space_group_symop_operation_xyz
'x,y,z'
'-x,-y,-z'
'-x,y,-z+1/2'
'x,-y,z+1/2'
'x+1/2,y+1/2,z'
'-x+1/2,-y+1/2,-z'
'-x+1/2,y+1/2,-z+1/2'
'x+1/2,-y+1/2,z+1/2'
loop_
_atom_site_label
_atom_site_type_symbol
_atom_site_fract_x
_atom_site_fract_y
_atom_site_fract_z
_atom_site_occupancy
Cu1 Cu 0.0000 0.0430 0.2500 1
As1 As 0.0000 0.5000 0.0000 1
O1 O 0.0000 0.4352 0.7500 1
O2 O 0.0194 0.2135 0.4773 1
O3 O 0.2463 0.0485 0.8632 1
```

Principal peaks in the range 2θ from 15° to 90°, low angle first:
25.2 deg, intensity 77, (2 0 0)
28.2 deg, intensity 47, (0 2 0)
28.5 deg, intensity 100, (1 1 -2)
38.5 deg, intensity 32, (3 1 -2)
50.1 deg, intensity 21, (1 3 -2)
50.7 deg, intensity 18, (2 0 -4)
51.8 deg, intensity 18, (4 0 0)
60.2 deg, intensity 23, (5 1 -2)